No. 1
Structure and simulated powder diffractogram of Ho3TmLu2Bi2Os (a crystal structure in OQMD, relaxed with GGA-PBE; CuKα).
Kinematic intensities with the Lorentz-polarization factor, no thermal factor.

Principal peaks in the range 10 to 90 degrees two-theta, sorted by position:
- 2θ = 30.4°, I 100
- 2θ = 33.0°, I 82
- 2θ = 33.4°, I 51
- 2θ = 38.1°, I 49
- 2θ = 39.8°, I 66
- 2θ = 42.7°, I 30
- 2θ = 55.3°, I 25
- 2θ = 58.6°, I 28
- 2θ = 61.1°, I 33
- 2θ = 76.3°, I 26

Cell and atoms:
Lattice parameters (Å, degrees): 4.231 8.184 8.184 119.99 90.00 90.00
Fractional coordinates of all 9 atoms:
Ho 0.000 0.000 0.000
Ho 0.000 0.231 0.615
Ho 0.000 0.615 0.231
Tm 0.500 0.384 0.384
Lu 0.500 0.615 0.846
Lu 0.500 0.846 0.615
Bi 0.500 0.282 0.949
Bi 0.500 0.949 0.282
Os 0.000 0.616 0.616



No. 2
Structure and simulated powder diffractogram of HoBiN2O (a crystal structure in OQMD, relaxed with GGA-PBE; CuKα).
Kinematic intensities with the Lorentz-polarization factor, no thermal factor.

Principal peaks in the range 10 to 90 degrees two-theta, sorted by position:
- 2θ = 28.1°, I 33
- 2θ = 29.4°, I 45
- 2θ = 30.5°, I 64
- 2θ = 31.8°, I 100
- 2θ = 41.1°, I 26
- 2θ = 48.0°, I 26
- 2θ = 52.9°, I 14
- 2θ = 53.7°, I 25
- 2θ = 57.3°, I 30
- 2θ = 60.2°, I 20

Cell and atoms:
Lattice parameters (Å, degrees): 3.611 6.684 6.075 90.00 90.00 90.00
Fractional coordinates of all 10 atoms:
Ho 0.000 0.148 0.000
Ho 0.000 0.852 0.500
Bi 0.500 0.331 0.537
Bi 0.500 0.669 0.037
N 0.000 0.180 0.613
N 0.000 0.820 0.113
N 0.500 0.380 0.906
N 0.500 0.620 0.406
O 0.500 0.112 0.253
O 0.500 0.888 0.753



No. 3
Structure and simulated powder diffractogram of HoBiN2O (a crystal structure in OQMD, relaxed with GGA-PBE; CuKα).
Kinematic intensities with the Lorentz-polarization factor, no thermal factor.

Principal peaks in the range 10 to 90 degrees two-theta, sorted by position:
- 2θ = 28.7°, I 99
- 2θ = 29.5°, I 70
- 2θ = 29.6°, I 67
- 2θ = 30.1°, I 42
- 2θ = 32.5°, I 100
- 2θ = 32.8°, I 40
- 2θ = 42.0°, I 23
- 2θ = 46.9°, I 31
- 2θ = 49.5°, I 28
- 2θ = 52.9°, I 25

Cell and atoms:
Lattice parameters (Å, degrees): 9.169 6.927 11.891 90.00 130.07 90.00
Fractional coordinates of all 40 atoms:
Ho 0.091 0.009 0.175
Ho 0.091 0.491 0.675
Ho 0.119 0.511 0.182
Ho 0.119 0.989 0.682
Ho 0.881 0.011 0.318
Ho 0.881 0.489 0.818
Ho 0.909 0.509 0.325
Ho 0.909 0.991 0.825
Bi 0.359 0.246 0.101
Bi 0.359 0.254 0.601
Bi 0.361 0.740 0.008
Bi 0.361 0.760 0.508
Bi 0.639 0.240 0.492
Bi 0.639 0.260 0.992
Bi 0.641 0.746 0.399
Bi 0.641 0.754 0.899
N 0.217 0.514 0.023
N 0.217 0.986 0.523
N 0.244 0.019 0.947
N 0.244 0.481 0.447
N 0.355 0.246 0.280
N 0.355 0.254 0.780
N 0.356 0.716 0.824
N 0.356 0.784 0.324
N 0.644 0.216 0.676
N 0.644 0.284 0.176
N 0.645 0.746 0.220
N 0.645 0.754 0.720
N 0.756 0.519 0.553
N 0.756 0.981 0.053
N 0.783 0.014 0.477
N 0.783 0.486 0.977
O 0.015 0.218 0.998
O 0.015 0.282 0.498
O 0.018 0.748 0.766
O 0.018 0.752 0.266
O 0.982 0.248 0.734
O 0.982 0.252 0.234
O 0.985 0.718 0.502
O 0.985 0.782 0.002



No. 4
Structure and simulated powder diffractogram of Ho3Sc3BiSbOs (a crystal structure in OQMD, relaxed with GGA-PBE; CuKα).
Kinematic intensities with the Lorentz-polarization factor, no thermal factor.

Principal peaks in the range 10 to 90 degrees two-theta, sorted by position:
- 2θ = 22.5°, I 56
- 2θ = 25.1°, I 27
- 2θ = 31.2°, I 100
- 2θ = 33.9°, I 99
- 2θ = 34.7°, I 24
- 2θ = 39.5°, I 61
- 2θ = 41.1°, I 51
- 2θ = 43.5°, I 28
- 2θ = 60.2°, I 36
- 2θ = 63.4°, I 36

Cell and atoms:
Lattice parameters (Å, degrees): 7.897 7.897 4.161 90.00 90.00 120.00
Fractional coordinates of all 9 atoms:
Ho 0.059 0.720 0.000
Ho 0.280 0.339 0.000
Ho 0.661 0.941 0.000
Sc 0.442 0.107 0.500
Sc 0.665 0.558 0.500
Sc 0.893 0.335 0.500
Bi 0.000 0.000 0.500
Sb 0.333 0.667 0.500
Os 0.667 0.333 0.000



No. 5
Structure and simulated powder diffractogram of Ho5TmBi2Os (a crystal structure in OQMD, relaxed with GGA-PBE; CuKα).
Kinematic intensities with the Lorentz-polarization factor, no thermal factor.

Principal peaks in the range 10 to 90 degrees two-theta, sorted by position:
- 2θ = 30.3°, I 100
- 2θ = 32.8°, I 84
- 2θ = 33.2°, I 50
- 2θ = 37.8°, I 51
- 2θ = 39.6°, I 64
- 2θ = 42.7°, I 30
- 2θ = 55.1°, I 24
- 2θ = 58.3°, I 29
- 2θ = 60.6°, I 34
- 2θ = 63.6°, I 17

Cell and atoms:
Lattice parameters (Å, degrees): 4.234 8.248 8.248 119.99 90.00 90.00
Fractional coordinates of all 9 atoms:
Ho 0.000 0.000 0.000
Ho 0.000 0.228 0.614
Ho 0.000 0.614 0.228
Ho 0.500 0.614 0.847
Ho 0.500 0.847 0.614
Tm 0.500 0.381 0.381
Bi 0.500 0.281 0.948
Bi 0.500 0.948 0.281
Os 0.000 0.612 0.612



No. 6
Structure and simulated powder diffractogram of YHo3Tm2Bi2Os (a crystal structure in OQMD, relaxed with GGA-PBE; CuKα).
Kinematic intensities with the Lorentz-polarization factor, no thermal factor.

Principal peaks in the range 10 to 90 degrees two-theta, sorted by position:
- 2θ = 21.6°, I 20
- 2θ = 30.3°, I 100
- 2θ = 32.8°, I 86
- 2θ = 33.2°, I 30
- 2θ = 37.8°, I 38
- 2θ = 39.6°, I 61
- 2θ = 42.8°, I 29
- 2θ = 55.2°, I 21
- 2θ = 58.4°, I 31
- 2θ = 60.6°, I 21

Cell and atoms:
Lattice parameters (Å, degrees): 4.229 8.250 8.250 120.18 90.00 90.00
Fractional coordinates of all 9 atoms:
Y 0.000 0.000 0.000
Ho 0.500 0.151 0.764
Ho 0.500 0.381 0.381
Ho 0.500 0.764 0.151
Tm 0.000 0.532 0.765
Tm 0.000 0.765 0.532
Bi 0.000 0.098 0.433
Bi 0.000 0.433 0.098
Os 0.500 0.760 0.760



No. 7
Structure and simulated powder diffractogram of Ho3Bi2P (a crystal structure in OQMD, relaxed with GGA-PBE; CuKα).
Kinematic intensities with the Lorentz-polarization factor, no thermal factor.

Principal peaks in the range 10 to 90 degrees two-theta, sorted by position:
- 2θ = 25.6°, I 10
- 2θ = 29.4°, I 100
- 2θ = 35.0°, I 12
- 2θ = 41.7°, I 32
- 2θ = 42.5°, I 37
- 2θ = 52.6°, I 20
- 2θ = 61.1°, I 11
- 2θ = 68.6°, I 12
- 2θ = 69.9°, I 18
- 2θ = 77.3°, I 11

Cell and atoms:
Lattice parameters (Å, degrees): 4.250 4.250 10.731 90.00 90.00 120.00
Fractional coordinates of all 6 atoms:
Ho 0.000 0.000 0.000
Ho 0.333 0.667 0.361
Ho 0.667 0.333 0.639
Bi 0.333 0.667 0.822
Bi 0.667 0.333 0.178
P 0.000 0.000 0.500



No. 8
Structure and simulated powder diffractogram of PmHoBi4 (a crystal structure in OQMD, relaxed with GGA-PBE; CuKα).
Kinematic intensities with the Lorentz-polarization factor, no thermal factor.

Principal peaks in the range 10 to 90 degrees two-theta, sorted by position:
- 2θ = 19.1°, I 39
- 2θ = 19.8°, I 33
- 2θ = 24.8°, I 51
- 2θ = 25.3°, I 47
- 2θ = 30.5°, I 30
- 2θ = 31.5°, I 82
- 2θ = 34.5°, I 32
- 2θ = 35.3°, I 29
- 2θ = 45.1°, I 100
- 2θ = 65.7°, I 28

Cell and atoms:
Lattice parameters (Å, degrees): 8.964 9.292 5.679 90.00 90.00 90.00
Fractional coordinates of all 12 atoms:
Pm 0.000 0.000 0.000
Pm 0.500 0.500 0.000
Ho 0.000 0.500 0.500
Ho 0.500 0.000 0.500
Bi 0.000 0.340 0.000
Bi 0.000 0.660 0.000
Bi 0.165 0.000 0.500
Bi 0.335 0.500 0.500
Bi 0.500 0.160 0.000
Bi 0.500 0.840 0.000
Bi 0.665 0.500 0.500
Bi 0.835 0.000 0.500



No. 9
Structure and simulated powder diffractogram of Ho4BiSb3 (a crystal structure in OQMD, relaxed with GGA-PBE; CuKα).
Kinematic intensities with the Lorentz-polarization factor, no thermal factor.

Principal peaks in the range 10 to 90 degrees two-theta, sorted by position:
- 2θ = 14.3°, I 2
- 2θ = 20.2°, I 2
- 2θ = 28.8°, I 100
- 2θ = 32.3°, I 1
- 2θ = 41.1°, I 77
- 2θ = 51.0°, I 27
- 2θ = 59.6°, I 13
- 2θ = 67.5°, I 36
- 2θ = 75.0°, I 26
- 2θ = 89.3°, I 9

Cell and atoms:
Lattice parameters (Å, degrees): 6.206 6.206 6.206 90.00 90.00 90.00
Fractional coordinates of all 8 atoms:
Ho 0.000 0.000 0.000
Ho 0.000 0.500 0.500
Ho 0.500 0.000 0.500
Ho 0.500 0.500 0.000
Bi 0.500 0.500 0.500
Sb 0.000 0.000 0.500
Sb 0.000 0.500 0.000
Sb 0.500 0.000 0.000



No. 10
Structure and simulated powder diffractogram of Tb3Ho2Bi3 (a crystal structure in OQMD, relaxed with GGA-PBE; CuKα).
Kinematic intensities with the Lorentz-polarization factor, no thermal factor.

Principal peaks in the range 10 to 90 degrees two-theta, sorted by position:
- 2θ = 28.0°, I 22
- 2θ = 29.8°, I 24
- 2θ = 33.0°, I 100
- 2θ = 33.9°, I 51
- 2θ = 34.3°, I 76
- 2θ = 43.5°, I 19
- 2θ = 48.9°, I 18
- 2θ = 52.8°, I 32
- 2θ = 65.7°, I 20
- 2θ = 68.8°, I 13

Cell and atoms:
Lattice parameters (Å, degrees): 9.169 9.169 6.375 90.00 90.00 120.00
Fractional coordinates of all 16 atoms:
Tb 0.000 0.244 0.250
Tb 0.000 0.756 0.750
Tb 0.244 0.000 0.250
Tb 0.244 0.244 0.750
Tb 0.756 0.000 0.750
Tb 0.756 0.756 0.250
Ho 0.333 0.667 0.000
Ho 0.333 0.667 0.500
Ho 0.667 0.333 0.000
Ho 0.667 0.333 0.500
Bi 0.000 0.390 0.750
Bi 0.000 0.610 0.250
Bi 0.390 0.000 0.750
Bi 0.390 0.390 0.250
Bi 0.610 0.000 0.250
Bi 0.610 0.610 0.750



No. 11
Structure and simulated powder diffractogram of Tb4HoBi5 (a crystal structure in OQMD, relaxed with GGA-PBE; CuKα).
Kinematic intensities with the Lorentz-polarization factor, no thermal factor.

Principal peaks in the range 10 to 90 degrees two-theta, sorted by position:
- 2θ = 24.4°, I 3
- 2θ = 28.2°, I 100
- 2θ = 40.3°, I 78
- 2θ = 47.7°, I 2
- 2θ = 49.9°, I 28
- 2θ = 58.4°, I 13
- 2θ = 64.2°, I 1
- 2θ = 66.1°, I 37
- 2θ = 73.3°, I 28
- 2θ = 87.2°, I 9

Cell and atoms:
Lattice parameters (Å, degrees): 16.125 16.125 16.125 164.06 164.06 22.62
Fractional coordinates of all 10 atoms:
Tb 0.100 0.100 0.000
Tb 0.300 0.300 0.000
Tb 0.700 0.700 0.000
Tb 0.900 0.900 0.000
Ho 0.500 0.500 0.000
Bi 0.000 0.000 0.000
Bi 0.200 0.200 0.000
Bi 0.400 0.400 0.000
Bi 0.600 0.600 0.000
Bi 0.800 0.800 0.000



No. 12
Structure and simulated powder diffractogram of TbHoBi2Te2 (a crystal structure in OQMD, relaxed with GGA-PBE; CuKα).
Kinematic intensities with the Lorentz-polarization factor, no thermal factor.

Principal peaks in the range 10 to 90 degrees two-theta, sorted by position:
- 2θ = 28.8°, I 44
- 2θ = 30.4°, I 100
- 2θ = 34.7°, I 81
- 2θ = 35.4°, I 28
- 2θ = 41.1°, I 50
- 2θ = 51.0°, I 34
- 2θ = 59.6°, I 18
- 2θ = 67.5°, I 21
- 2θ = 68.3°, I 20
- 2θ = 70.9°, I 23

Cell and atoms:
Lattice parameters (Å, degrees): 4.388 4.388 9.307 90.00 90.00 90.00
Fractional coordinates of all 6 atoms:
Tb 0.000 0.000 0.000
Ho 0.500 0.500 0.569
Bi 0.000 0.500 0.285
Bi 0.500 0.000 0.285
Te 0.000 0.000 0.658
Te 0.500 0.500 0.909



Q: Number 7 is which compound?
A: Ho3Bi2P